No. 1
Structure and simulated XRD peak list of KNpCoS4 (a DFT-relaxed cell (GGA-PBE, Alexandria); a wavelength of 1.5418 Å).
Lines closer than 0.1° are merged.

```
14
Lattice="6.5659 0.0000 0.0000 0.0000 5.6250 0.0000 -2.4400 0.0000 8.5263" Properties=species:S:1:pos:R:3 pbc="T T T"
K 0.4919 1.4063 3.8259
K 3.6339 4.2188 4.7004
Np -0.7413 1.4063 8.0854
Np 4.8672 4.2188 0.4409
Co 1.3445 4.2188 1.3785
Co 2.7814 1.4063 7.1478
S -0.4074 4.2188 2.7118
S -1.7217 4.2188 7.8184
S 1.2337 2.8868 6.7826
S 1.2337 5.5507 6.7826
S 2.8922 0.0743 1.7437
S 2.8922 2.7382 1.7437
S 5.8475 1.4063 0.7078
S 4.5332 1.4063 5.8145
```

The 10 most intense peaks (2θ from 10° to 80°), low angle first:
Position (°2θ)	I/Imax
10.4	100
18.9	13
21.2	21
21.8	15
26.9	15
28.3	15
30.2	14
31.8	14
32.6	19
43.1	13

---

No. 2
Structure and simulated XRD peak list of K3Np2CoSe6 (a DFT-relaxed cell (GGA-PBE, Alexandria); a wavelength of 1.5418 Å).
Lines closer than 0.1° are merged.

```
12
Lattice="3.5541 -6.1569 0.0000 3.5541 6.1569 0.0000 -2.3742 0.0000 7.6493" Properties=species:S:1:pos:R:3 pbc="T T T"
K 0.0000 0.0000 0.0000
K 3.5541 2.0687 0.0000
K 3.5541 -2.0687 0.0000
Np 2.3670 4.1064 3.8247
Np 2.3670 -4.1064 3.8247
Co 2.3670 0.0000 3.8247
Se 1.2309 1.9698 2.3208
Se 0.0904 0.0000 5.3338
Se 1.2309 -1.9698 2.3208
Se 3.5031 1.9698 5.3285
Se 4.6435 0.0000 2.3155
Se 3.5031 -1.9698 5.3285
```

The 10 most intense peaks (2θ from 10° to 80°), low angle first:
Position (°2θ)	I/Imax
11.6	75
25.4	15
29.6	100
37.3	25
40.4	33
44.1	35
45.8	17
50.7	14
54.0	18
72.2	15